Structure and theoretical powder diffraction line list of LaNdCd4Ni2 (a GGA-PBE-relaxed structure; a wavelength of 1.5418 Å).
Peak positions follow from Bragg's law for the DFT cell and can differ from measured ones.

Peak list (10 most intense, 10 to 80 degrees two-theta, by angle)
2theta, Rel. int.
31.7, 100
34.6, 37
36.3, 49
37.5, 33
38.1, 24
40.3, 22
41.1, 17
42.8, 33
58.2, 18
61.9, 17

Crystal structure
```
LaNdCd4Ni2
1.0
8.2271 0.0000 0.0000
0.0000 2.1113 4.9375
0.0000 -2.1113 4.9375
La Nd Cd Ni
1 1 4 2
Direct
0.0000 0.0000 0.0000
0.5000 0.1220 0.1220
0.2016 0.7082 0.7082
0.3045 0.4118 0.4118
0.6955 0.4118 0.4118
0.7984 0.7082 0.7082
0.0000 0.2820 0.2820
0.5000 0.8360 0.8360
```